# VFe6O8
Calculated powder X-ray diffraction pattern, Cu Ka. Input: a DFT-relaxed cell (PBE+U, Alexandria).
Peak positions follow from Bragg's law for the DFT cell and can differ from measured ones.

Main lines, in order of falling intensity (10 to 90 degrees two-theta):
2θ 42.1, 2.146 Å, I = 100, hkl 2 -1 2
2θ 34.4, 2.606 Å, I = 68, hkl 1 1 1
2θ 22.6, 3.934 Å, I = 50, hkl 1 0 1
2θ 27.2, 3.279 Å, I = 46, hkl 0 0 2
2θ 51.1, 1.788 Å, I = 38, hkl 3 -1 1
2θ 56.1, 1.639 Å, I = 31, hkl 3 0 0
2θ 65.8, 1.420 Å, I = 23, hkl 1 1 4
2θ 70.5, 1.335 Å, I = 22, hkl 3 1 1
2θ 36.5, 2.459 Å, I = 19, hkl 2 0 0
2θ 31.5, 2.839 Å, I = 17, hkl 1 1 0

Atomic structure:
a = 5.6785 Å, b = 5.6785 Å, c = 6.5578 Å
α = 90.00°, β = 90.00°, γ = 120.00°
Space group P-31m (No. 162)
One atom of each set of equivalent atoms:
1 V 0.0000 0.0000 0.0000 (multiplicity 1)
2 Fe 0.0000 0.3872 0.7041 (multiplicity 6)
3 O 0.0000 0.2766 0.1845 (multiplicity 6)
4 O 0.3333 0.6667 0.5000 (multiplicity 2)